(1)
# Ho2MgIn
Theoretical powder diffractogram, Cu Ka. Input: the GGA-PBE geometry in the Materials Project.
Kinematic intensities with the Lorentz-polarization factor, no thermal factor.

Cell and atoms:
```
Ho2MgIn
1.0
0.000 3.743 3.743
3.743 0.000 3.743
3.743 3.743 0.000
Ho Mg In
2 1 1
direct
0.250 0.250 0.250 Ho
0.750 0.750 0.750 Ho
0.000 0.000 0.000 Mg
0.500 0.500 0.500 In
```

Main lines, sorted by position (2θ from 10° to 80°):
2theta, intensity
20.55, 8.8
23.77, 18.4
33.87, 100.0
39.95, 4.8
41.81, 5.7
48.66, 18.0
53.35, 2.0
54.85, 8.0
60.61, 37.0
64.71, 1.5
71.27, 11.4
76.34, 3.9

(2)
# Ho3InN
Theoretical powder diffractogram, Cu Ka. Input: the GGA-PBE geometry in the Materials Project.
Kinematic intensities with the Lorentz-polarization factor, no thermal factor.

Cell and atoms:
```
Ho3InN
1.0
4.789 0.000 0.000
0.000 4.789 0.000
0.000 0.000 4.789
Ho In N
3 1 1
direct
0.000 0.000 0.500 Ho
0.000 0.500 0.000 Ho
0.500 0.000 0.000 Ho
0.500 0.500 0.500 In
0.000 0.000 0.000 N
```

Main lines, sorted by position (2θ from 10° to 80°):
2theta, intensity
18.53, 3.1
26.32, 0.7
32.38, 100.0
37.56, 55.0
42.20, 1.4
54.17, 37.9
57.76, 0.7
64.54, 41.6
67.79, 12.8

(3)
# NdHoIn2
Theoretical powder diffractogram, Cu Ka. Input: the GGA-PBE geometry in the Materials Project.
Kinematic intensities with the Lorentz-polarization factor, no thermal factor.

Cell and atoms:
```
NdHoIn2
1.0
0.000 3.816 3.816
3.816 0.000 3.816
3.816 3.816 0.000
Nd Ho In
1 1 2
direct
0.000 0.000 0.000 Nd
0.500 0.500 0.500 Ho
0.250 0.250 0.250 In
0.750 0.750 0.750 In
```

Main lines, sorted by position (2θ from 10° to 80°):
2theta, intensity
23.31, 2.2
33.20, 100.0
40.96, 0.7
47.66, 18.0
53.71, 1.1
59.32, 37.1
69.69, 11.4
74.61, 0.5
79.41, 15.9

(4)
# Ho2InNi2
Theoretical powder diffractogram, Cu Ka. Input: the GGA-PBE geometry in the Materials Project.
Kinematic intensities with the Lorentz-polarization factor, no thermal factor.

Cell and atoms:
```
Ho2InNi2
1.0
1.969 -7.095 0.000
1.969 7.095 0.000
0.000 0.000 3.610
Ho In Ni
2 1 2
direct
0.139 0.861 0.000 Ho
0.861 0.139 0.000 Ho
0.500 0.500 0.500 In
0.301 0.699 0.500 Ni
0.699 0.301 0.500 Ni
```

Main lines, sorted by position (2θ from 10° to 80°):
2theta, intensity
29.52, 46.9
34.29, 100.0
35.48, 71.4
38.05, 15.0
38.83, 39.3
39.13, 32.6
46.11, 26.4
50.60, 31.6
57.12, 19.7
59.49, 31.6
65.74, 13.4
70.82, 14.3

(5)
# Ho2InNi2
Theoretical powder diffractogram, Cu Ka. Input: the GGA-PBE geometry in the Materials Project.
Kinematic intensities with the Lorentz-polarization factor, no thermal factor.

Cell and atoms:
```
Ho2InNi2
1.0
7.410 0.000 0.000
0.000 7.410 0.000
0.000 0.000 3.630
Ho In Ni
4 2 4
direct
0.173 0.327 0.000 Ho
0.327 0.827 0.000 Ho
0.673 0.173 0.000 Ho
0.827 0.673 0.000 Ho
0.000 0.000 0.500 In
0.500 0.500 0.500 In
0.119 0.619 0.500 Ni
0.381 0.119 0.500 Ni
0.619 0.881 0.500 Ni
0.881 0.381 0.500 Ni
```

Main lines, sorted by position (2θ from 10° to 80°):
2theta, intensity
26.90, 23.0
29.94, 11.1
34.23, 14.1
34.59, 53.6
36.72, 100.0
38.41, 44.4
50.26, 15.6
50.80, 14.9
57.19, 17.4
58.66, 18.1
64.99, 18.3
69.70, 11.9